1.
Structure and simulated X-ray diffraction stick pattern of AcPr3In4 (a GGA-PBE-relaxed structure; Cu Kα (λ = 1.5418 Å)).

Cell and atoms:
```
data_AcPr3In4
_chemical_formula_sum 'Ac2 Pr6 In8'
_symmetry_space_group_name_H-M 'P m m a'
_symmetry_Int_Tables_number 51
_cell_length_a 11.2082
_cell_length_b 7.8925
_cell_length_c 5.6049
_cell_angle_alpha 90.00
_cell_angle_beta 90.00
_cell_angle_gamma 90.00
loop_
_symmetry_equiv_pos_as_xyz
'x,y,z'
'-x,-y,-z'
'-x+1/2,-y,z'
'x+1/2,y,-z'
'x+1/2,-y,-z'
'-x+1/2,y,z'
'-x,y,-z'
'x,-y,z'
loop_
_atom_site_label
_atom_site_type_symbol
_atom_site_fract_x
_atom_site_fract_y
_atom_site_fract_z
_atom_site_occupancy
Ac1 Ac 0.0000 0.0000 0.0000 1
Pr1 Pr 0.0000 0.5000 0.0000 1
Pr2 Pr 0.2500 0.0000 0.4993 1
Pr3 Pr 0.2500 0.5000 0.4991 1
In1 In 0.0000 0.2597 0.5000 1
In2 In 0.2500 0.2597 0.9988 1
```

Most intense lines, 2θ = 5–70°, low angle first:
hkl 4 0 0, 32.0 deg, 2.798 Å, rel. 1000; hkl 4 0 2, 45.8 deg, 1.981 Å, rel. 123; hkl 0 4 0, 46.0 deg, 1.973 Å, rel. 59; hkl 6 2 1, 57.0 deg, 1.617 Å, rel. 254; hkl 4 4 0, 57.1 deg, 1.613 Å, rel. 124; hkl 4 4 2, 66.9 deg, 1.398 Å, rel. 76

2.
Structure and simulated X-ray diffraction stick pattern of Ac2ErTl2 (a GGA-PBE-relaxed structure; Cu Kα (λ = 1.5418 Å)).

Cell and atoms:
```
data_Ac2ErTl2
_chemical_formula_sum 'Ac4 Er2 Tl4'
_symmetry_space_group_name_H-M 'I m m m'
_symmetry_Int_Tables_number 71
_symmetry_space_group_name_Hall '-I 2 2'
_cell_length_a 4.9735
_cell_length_b 7.1095
_cell_length_c 10.0266
_cell_angle_alpha 90.00
_cell_angle_beta 90.00
_cell_angle_gamma 90.00
loop_
_atom_site_label
_atom_site_type_symbol
_atom_site_fract_x
_atom_site_fract_y
_atom_site_fract_z
_atom_site_occupancy
Ac1 Ac 0.0000 0.0000 0.1959 1
Er1 Er 0.0000 0.5000 0.0000 1
Tl1 Tl 0.0000 0.2704 0.5000 1
```

Most intense lines, 2θ = 5–70°, low angle first:
hkl 1 1 2, 28.2 deg, 3.162 Å, rel. 653; hkl 0 1 3, 29.5 deg, 3.025 Å, rel. 223; hkl 0 2 2, 30.8 deg, 2.900 Å, rel. 264; hkl 1 2 1, 32.2 deg, 2.777 Å, rel. 1000; hkl 2 0 0, 36.1 deg, 2.487 Å, rel. 278; hkl 1 2 5, 55.8 deg, 1.648 Å, rel. 315

3.
Structure and simulated X-ray diffraction stick pattern of Pm4DyGe4 (a GGA-PBE-relaxed structure; Cu Kα (λ = 1.5418 Å)).

Cell and atoms:
```
data_Pm4DyGe4
_chemical_formula_sum 'Pm8 Dy2 Ge8'
_symmetry_space_group_name_H-M 'P 42/n'
_symmetry_Int_Tables_number 86
_cell_length_a 9.0819
_cell_length_b 9.0819
_cell_length_c 6.0497
_cell_angle_alpha 90.00
_cell_angle_beta 90.00
_cell_angle_gamma 90.00
loop_
_symmetry_equiv_pos_as_xyz
'x,y,z'
'-x,-y,-z'
'-y,x+1/2,z+1/2'
'y,-x+1/2,-z+1/2'
'-x+1/2,-y+1/2,z'
'x+1/2,y+1/2,-z'
'y+1/2,-x,z+1/2'
'-y+1/2,x,-z+1/2'
loop_
_atom_site_label
_atom_site_type_symbol
_atom_site_fract_x
_atom_site_fract_y
_atom_site_fract_z
_atom_site_occupancy
Pm1 Pm 0.0521 0.6695 0.1227 1
Dy1 Dy 0.2500 0.2500 0.2500 1
Ge1 Ge 0.0168 0.6286 0.6134 1
```

Most intense lines, 2θ = 5–70°, low angle first:
hkl 2 1 1, 26.4 deg, 3.372 Å, rel. 353; hkl 1 3 0, 31.1 deg, 2.871 Å, rel. 1000; hkl 1 2 2, 37.1 deg, 2.426 Å, rel. 249; hkl 4 2 0, 44.6 deg, 2.031 Å, rel. 219; hkl 2 3 2, 46.9 deg, 1.936 Å, rel. 208; hkl 4 1 2, 51.3 deg, 1.781 Å, rel. 144

4.
Structure and simulated X-ray diffraction stick pattern of Ac2CdRhPb (a GGA-PBE-relaxed structure; Cu Kα (λ = 1.5418 Å)).

Cell and atoms:
```
data_Ac2CdRhPb
_chemical_formula_sum 'Ac4 Cd2 Rh2 Pb2'
_symmetry_space_group_name_H-M 'P 1 21/m 1'
_symmetry_Int_Tables_number 11
_cell_length_a 8.2785
_cell_length_b 4.6590
_cell_length_c 8.4573
_cell_angle_alpha 90.00
_cell_angle_beta 110.55
_cell_angle_gamma 90.00
loop_
_symmetry_equiv_pos_as_xyz
'x,y,z'
'-x,-y,-z'
'-x,y+1/2,-z'
'x,-y+1/2,z'
loop_
_atom_site_label
_atom_site_type_symbol
_atom_site_fract_x
_atom_site_fract_y
_atom_site_fract_z
_atom_site_occupancy
Ac1 Ac 0.0375 0.2500 0.2238 1
Ac2 Ac 0.3332 0.7500 0.6075 1
Cd1 Cd 0.3335 0.7500 0.1845 1
Rh1 Rh 0.0880 0.2500 0.6058 1
Pb1 Pb 0.3290 0.2500 0.9422 1
```

Most intense lines, 2θ = 5–70°, low angle first:
hkl 1 1 1, 26.8 deg, 3.332 Å, rel. 680; hkl 1 0 2, 28.7 deg, 3.110 Å, rel. 537; hkl 2 1 -1, 29.0 deg, 3.076 Å, rel. 905; hkl 2 1 -2, 32.4 deg, 2.766 Å, rel. 810; hkl 3 0 0, 34.7 deg, 2.586 Å, rel. 1000; hkl 0 2 0, 38.7 deg, 2.330 Å, rel. 572

5.
Structure and simulated X-ray diffraction stick pattern of DyAl11Co (a GGA-PBE-relaxed structure; Cu Kα (λ = 1.5418 Å)).

Cell and atoms:
```
data_DyAl11Co
_chemical_formula_sum 'Dy2 Al22 Co2'
_symmetry_space_group_name_H-M 'C 1 2/m 1'
_symmetry_Int_Tables_number 12
_cell_length_a 5.1211
_cell_length_b 12.5407
_cell_length_c 7.1409
_cell_angle_alpha 90.00
_cell_angle_beta 108.47
_cell_angle_gamma 90.00
loop_
_symmetry_equiv_pos_as_xyz
'x,y,z'
'-x,-y,-z'
'-x,y,-z'
'x,-y,z'
'x+1/2,y+1/2,z'
'-x+1/2,-y+1/2,-z'
'-x+1/2,y+1/2,-z'
'x+1/2,-y+1/2,z'
loop_
_atom_site_label
_atom_site_type_symbol
_atom_site_fract_x
_atom_site_fract_y
_atom_site_fract_z
_atom_site_occupancy
Dy1 Dy 0.0000 0.0000 0.0000 1
Al1 Al 0.0000 0.0000 0.5000 1
Al2 Al 0.1074 0.3928 0.2307 1
Al3 Al 0.1888 0.1728 0.3609 1
Al4 Al 0.2500 0.2500 0.0000 1
Co1 Co 0.0000 0.5000 0.5000 1
```

Most intense lines, 2θ = 5–70°, low angle first:
hkl 0 2 0, 14.1 deg, 6.270 Å, rel. 885; hkl 1 1 -1, 20.1 deg, 4.416 Å, rel. 820; hkl 1 3 -1, 28.5 deg, 3.131 Å, rel. 652; hkl 1 3 1, 33.6 deg, 2.666 Å, rel. 695; hkl 0 4 2, 39.2 deg, 2.301 Å, rel. 1000; hkl 2 2 0, 39.8 deg, 2.265 Å, rel. 724

6.
Structure and simulated X-ray diffraction stick pattern of Ag5Br4 (a GGA-PBE-relaxed structure; Cu Kα (λ = 1.5418 Å)).

Cell and atoms:
```
data_Ag5Br4
_chemical_formula_sum 'Ag10 Br8'
_symmetry_space_group_name_H-M 'I 4/m m m'
_symmetry_Int_Tables_number 139
_symmetry_space_group_name_Hall '-I 4 2'
_cell_length_a 10.8169
_cell_length_b 10.8169
_cell_length_c 4.1221
_cell_angle_alpha 90.00
_cell_angle_beta 90.00
_cell_angle_gamma 90.00
loop_
_atom_site_label
_atom_site_type_symbol
_atom_site_fract_x
_atom_site_fract_y
_atom_site_fract_z
_atom_site_occupancy
Ag1 Ag 0.0000 0.0000 0.0000 1
Ag2 Ag 0.1342 0.1342 0.5000 1
Br1 Br 0.0000 0.2779 0.0000 1
```

Most intense lines, 2θ = 5–70°, low angle first:
hkl 1 1 0, 11.6 deg, 7.649 Å, rel. 725; hkl 3 0 1, 33.0 deg, 2.714 Å, rel. 1000; hkl 3 3 0, 35.2 deg, 2.550 Å, rel. 265; hkl 4 1 1, 40.8 deg, 2.213 Å, rel. 521; hkl 0 0 2, 43.9 deg, 2.061 Å, rel. 165; hkl 4 4 0, 47.5 deg, 1.913 Å, rel. 293

7.
Structure and simulated X-ray diffraction stick pattern of PmEuCuAs (a GGA-PBE-relaxed structure; Cu Kα (λ = 1.5418 Å)).

Cell and atoms:
```
data_PmEuCuAs
_chemical_formula_sum 'Pm4 Eu4 Cu4 As4'
_symmetry_space_group_name_H-M 'F -4 3 m'
_symmetry_Int_Tables_number 216
_symmetry_space_group_name_Hall 'F -4 2 3'
_cell_length_a 7.2514
_cell_length_b 7.2514
_cell_length_c 7.2514
_cell_angle_alpha 90.00
_cell_angle_beta 90.00
_cell_angle_gamma 90.00
loop_
_atom_site_label
_atom_site_type_symbol
_atom_site_fract_x
_atom_site_fract_y
_atom_site_fract_z
_atom_site_occupancy
Pm1 Pm 0.0000 0.0000 0.0000 1
Eu1 Eu 0.0000 0.0000 0.5000 1
Cu1 Cu 0.2500 0.2500 0.2500 1
As1 As 0.2500 0.2500 0.7500 1
```

Most intense lines, 2θ = 5–70°, low angle first:
hkl 2 0 0, 24.6 deg, 3.626 Å, rel. 142; hkl 2 2 0, 35.0 deg, 2.564 Å, rel. 1000; hkl 2 2 2, 43.2 deg, 2.093 Å, rel. 44; hkl 4 0 0, 50.3 deg, 1.813 Å, rel. 176; hkl 4 2 0, 56.8 deg, 1.621 Å, rel. 61; hkl 4 2 2, 62.8 deg, 1.480 Å, rel. 359

8.
Structure and simulated X-ray diffraction stick pattern of HfMgZr (a GGA-PBE-relaxed structure; Cu Kα (λ = 1.5418 Å)).

Cell and atoms:
```
data_HfMgZr
_chemical_formula_sum 'Hf4 Mg4 Zr4'
_symmetry_space_group_name_H-M 'C m c m'
_symmetry_Int_Tables_number 63
_symmetry_space_group_name_Hall '-C 2c 2'
_cell_length_a 4.3439
_cell_length_b 14.5451
_cell_length_c 4.3678
_cell_angle_alpha 90.00
_cell_angle_beta 90.00
_cell_angle_gamma 90.00
loop_
_atom_site_label
_atom_site_type_symbol
_atom_site_fract_x
_atom_site_fract_y
_atom_site_fract_z
_atom_site_occupancy
Hf1 Hf 0.0000 0.0746 0.2500 1
Mg1 Mg 0.0000 0.2502 0.7500 1
Zr1 Zr 0.0000 0.4239 0.2500 1
```

Most intense lines, 2θ = 5–70°, low angle first:
hkl 0 2 0, 12.2 deg, 7.273 Å, rel. 600; hkl 1 1 1, 29.6 deg, 3.013 Å, rel. 163; hkl 1 3 1, 34.5 deg, 2.600 Å, rel. 1000; hkl 0 6 0, 37.1 deg, 2.424 Å, rel. 192; hkl 0 0 2, 41.3 deg, 2.184 Å, rel. 155; hkl 1 5 1, 42.8 deg, 2.115 Å, rel. 174